Diffraction record for Ho3Ag2Rh2. The X-ray powder pattern is calculated, not measured: it uses the PBE geometry in Alexandria and CuKα.
Lines closer than 0.1° are merged.

Structure:
```
Ho3Ag2Rh2
1.0
4.164 -2.413 0.000
4.164 2.413 0.000
-2.739 0.000 8.305
Ho Ag Rh
3 2 2
Direct
0.000 0.000 0.000
0.218 0.218 0.653
0.782 0.782 0.347
0.393 0.393 0.180
0.607 0.607 0.820
0.106 0.106 0.319
0.894 0.894 0.681
```

Peak list (10 most intense, 2θ from 10° to 90°, in order of rising 2θ)
21.60 deg, d = 4.114 Å, rel. 34; 27.89 deg, d = 3.198 Å, rel. 77; 32.34 deg, d = 2.768 Å, rel. 19; 35.99 deg, d = 2.495 Å, rel. 33; 37.27 deg, d = 2.413 Å, rel. 50; 37.37 deg, d = 2.406 Å, rel. 100; 42.20 deg, d = 2.142 Å, rel. 41; 42.36 deg, d = 2.134 Å, rel. 20; 50.15 deg, d = 1.819 Å, rel. 22; 67.28 deg, d = 1.392 Å, rel. 17

---

Diffraction record for TbPrDyTm3. The X-ray powder pattern is calculated, not measured: it uses the PBE geometry in Alexandria and CuKα.
Lines closer than 0.1° are merged.

Structure:
```
TbPrDyTm3
1.0
2.867 -5.855 0.000
2.867 5.855 0.000
0.000 0.000 11.384
Tb Pr Dy Tm
2 2 2 6
Direct
0.000 0.000 0.000
0.000 0.000 0.500
0.480 0.520 0.750
0.520 0.480 0.250
0.174 0.826 0.750
0.826 0.174 0.250
0.155 0.845 0.250
0.326 0.674 0.018
0.326 0.674 0.482
0.674 0.326 0.518
0.674 0.326 0.982
0.845 0.155 0.750
```

Peak list (10 most intense, 2θ from 10° to 90°, in order of rising 2θ)
31.19 deg, d = 2.867 Å, rel. 28; 31.43 deg, d = 2.846 Å, rel. 26; 31.88 deg, d = 2.807 Å, rel. 100; 44.88 deg, d = 2.020 Å, rel. 20; 46.53 deg, d = 1.952 Å, rel. 8; 55.94 deg, d = 1.644 Å, rel. 20; 56.24 deg, d = 1.636 Å, rel. 17; 57.09 deg, d = 1.613 Å, rel. 9; 57.24 deg, d = 1.610 Å, rel. 8; 66.63 deg, d = 1.404 Å, rel. 10